The following is a calculated powder XRD pattern of Ta2Be16Fe. It was derived from a structure optimized by DFT (GGA-PBE), using Cu Kα (λ = 1.5418 Å).
Peak positions follow from Bragg's law for the DFT cell and can differ from measured ones.

a b c (Å): 7.4282 7.4282 10.6801
angles (deg): 90.00 90.00 120.00
Space group R3m (No. 160, hexagonal axes)
Unique sites:
Ta1 0.0000 0.0000 0.0000
Ta2 0.0000 0.0000 0.3202
Be1 0.0000 0.0000 0.5607
Be2 0.0002 0.2865 0.6661
Be3 0.0059 0.5029 0.8177
Be4 0.1676 0.3352 0.4966
Be5 0.1675 0.3351 0.8426
Fe1 0.0000 0.0000 0.7641

Top 8 peaks for 2θ from 15° to 90°, low angle first:
2theta  d/Å  Rel. int.
16.1  5.511  30
24.0  3.714  100
25.0  3.560  20
34.9  2.570  58
36.4  2.466  17
42.1  2.144  29
49.1  1.857  21
49.6  1.837  28

The following is a calculated powder XRD pattern of Tb3Be2Fe7. It was derived from a structure optimized by DFT (GGA-PBE), using Cu Kα (λ = 1.5418 Å).
Peak positions follow from Bragg's law for the DFT cell and can differ from measured ones.

a b c (Å): 5.0812 5.0812 23.3320
angles (deg): 90.00 90.00 120.00
Space group R-3m (No. 166, hexagonal axes)
Unique sites:
Tb1 0.0000 0.0000 0.0000
Tb2 0.0000 0.0000 0.1408
Be1 0.0000 0.0000 0.3330
Fe1 0.0000 0.0000 0.5000
Fe2 0.0013 0.5007 0.0765

Top 8 peaks for 2θ from 15° to 90°, low angle first:
2theta  d/Å  Rel. int.
20.5  4.324  39
33.7  2.657  96
35.3  2.541  56
37.0  2.431  74
41.2  2.190  74
42.5  2.127  100
62.4  1.488  32
64.5  1.445  29

The following is a calculated powder XRD pattern of TiBe17Fe. It was derived from a structure optimized by DFT (GGA-PBE), using Cu Kα (λ = 1.5418 Å).
Peak positions follow from Bragg's law for the DFT cell and can differ from measured ones.

a b c (Å): 7.2492 7.2492 10.6402
angles (deg): 90.00 90.00 120.00
Space group R3m (No. 160, hexagonal axes)
Unique sites:
Ti1 0.0000 0.0000 0.0000
Be1 0.0000 0.0000 0.2402
Be2 0.0000 0.0000 0.4406
Be3 0.0024 0.5012 0.1856
Be4 0.0049 0.3045 0.3377
Be5 0.0080 0.5040 0.8350
Be6 0.0115 0.5058 0.4934
Fe1 0.0000 0.0000 0.6709

Top 8 peaks for 2θ from 15° to 90°, low angle first:
2theta  d/Å  Rel. int.
16.4  5.407  54
21.9  4.059  33
24.6  3.625  82
35.4  2.535  100
43.2  2.093  45
50.3  1.812  39
50.6  1.802  72
51.6  1.772  31

The following is a calculated powder XRD pattern of BeFeW. It was derived from a structure optimized by DFT (GGA-PBE), using Cu Kα (λ = 1.5418 Å).
Peak positions follow from Bragg's law for the DFT cell and can differ from measured ones.

a b c (Å): 3.8960 3.8960 2.6692
angles (deg): 90.00 90.00 120.00
Space group P3m1 (No. 156)
Unique sites:
Be1 0.0000 0.0000 0.0000
Fe1 0.6667 0.3333 0.1057
W1 0.3333 0.6667 0.5214

Top 8 peaks for 2θ from 15° to 90°, low angle first:
2theta  d/Å  Rel. int.
26.4  3.374  96
43.2  2.093  100
46.6  1.948  52
54.4  1.687  14
58.7  1.574  15
65.4  1.426  29
84.1  1.151  29
88.9  1.101  14

The following is a calculated powder XRD pattern of YBe2Fe10. It was derived from a structure optimized by DFT (GGA-PBE), using Cu Kα (λ = 1.5418 Å).
Peak positions follow from Bragg's law for the DFT cell and can differ from measured ones.

a b c (Å): 8.2690 9.3713 8.0580
angles (deg): 90.00 90.00 90.00
Space group Cmcm (No. 63)
Unique sites:
Y1 0.0000 0.1206 0.2500
Be1 0.2500 0.2500 0.0000
Fe1 0.0000 0.1633 0.5997
Fe2 0.0000 0.3914 0.0780
Fe3 0.1410 0.3794 0.7500
Fe4 0.2342 0.0000 0.0000
Fe5 0.2435 0.3674 0.2500

Top 8 peaks for 2θ from 15° to 90°, low angle first:
2theta  d/Å  Rel. int.
38.4  2.343  34
38.6  2.330  45
40.8  2.211  39
43.8  2.067  53
44.6  2.030  100
44.7  2.025  43
49.5  1.841  35
81.1  1.186  30

The following is a calculated powder XRD pattern of Zr2Be12Fe5. It was derived from a structure optimized by DFT (GGA-PBE), using Cu Kα (λ = 1.5418 Å).
Peak positions follow from Bragg's law for the DFT cell and can differ from measured ones.

a b c (Å): 7.7455 7.7455 11.2513
angles (deg): 90.00 90.00 120.00
Space group R-3m (No. 166, hexagonal axes)
Unique sites:
Zr1 0.0000 0.0000 0.1638
Be1 0.0000 0.2856 0.5000
Be2 0.0004 0.5002 0.3445
Fe1 0.0000 0.0000 0.4029
Fe2 0.0000 0.5000 0.0000

Top 8 peaks for 2θ from 15° to 90°, low angle first:
2theta  d/Å  Rel. int.
23.0  3.873  100
27.8  3.214  37
33.3  2.694  74
34.6  2.594  43
46.9  1.936  78
47.3  1.921  38
48.3  1.883  35
48.7  1.869  38